No. 1
Starting from a structure optimized by DFT (PBE), the X-ray powder pattern of Lu4AlGeC2 was computed for Cu Kα (weighted mean of Kα1 and Kα2).
Intensities are scaled so that the largest is 100.

Most intense lines, 5 to 70 degrees two-theta, low angle first:
- 2θ = 11.73°, rel. 26
- 2θ = 29.63°, rel. 24
- 2θ = 30.23°, rel. 16
- 2θ = 34.69°, rel. 100
- 2θ = 35.72°, rel. 18
- 2θ = 47.06°, rel. 15
- 2θ = 52.57°, rel. 22
- 2θ = 63.51°, rel. 15
- 2θ = 64.53°, rel. 17
- 2θ = 65.18°, rel. 19

Cell lengths 3.482, 3.482, 15.084 Å; angles 90.00, 90.00, 120.00 degrees
Positions (direct):
Lu 0.000 0.000 0.156
Lu 0.000 0.000 0.844
Lu 0.667 0.333 0.329
Lu 0.667 0.333 0.671
Al 0.000 0.000 0.500
Ge 0.667 0.333 0.000
C 0.333 0.667 0.243
C 0.333 0.667 0.757

No. 2
Starting from a structure optimized by DFT (PBE), the X-ray powder pattern of Hf3Al3C5 was computed for Cu Kα (weighted mean of Kα1 and Kα2).
Intensities are scaled so that the largest is 100.

Most intense lines, 5 to 70 degrees two-theta, low angle first:
- 2θ = 6.44°, rel. 100
- 2θ = 32.60°, rel. 33
- 2θ = 33.75°, rel. 24
- 2θ = 36.88°, rel. 19
- 2θ = 38.80°, rel. 16
- 2θ = 40.91°, rel. 8
- 2θ = 43.21°, rel. 7
- 2θ = 55.25°, rel. 13
- 2θ = 65.65°, rel. 11
- 2θ = 69.95°, rel. 7

Cell lengths 3.325, 3.325, 27.451 Å; angles 90.00, 90.00, 120.00 degrees
Positions (direct):
Hf 0.000 0.000 0.000
Hf 0.000 0.000 0.500
Hf 0.333 0.667 0.094
Hf 0.333 0.667 0.406
Hf 0.667 0.333 0.594
Hf 0.667 0.333 0.906
Al 0.000 0.000 0.250
Al 0.000 0.000 0.750
Al 0.333 0.667 0.676
Al 0.333 0.667 0.824
Al 0.667 0.333 0.176
Al 0.667 0.333 0.324
C 0.000 0.000 0.151
C 0.000 0.000 0.349
C 0.000 0.000 0.651
C 0.000 0.000 0.849
C 0.333 0.667 0.550
C 0.333 0.667 0.750
C 0.333 0.667 0.950
C 0.667 0.333 0.050
C 0.667 0.333 0.250
C 0.667 0.333 0.450

No. 3
Starting from a structure optimized by DFT (PBE), the X-ray powder pattern of Hf3Al4C6 was computed for Cu Kα (weighted mean of Kα1 and Kα2).
Intensities are scaled so that the largest is 100.

Most intense lines, 5 to 70 degrees two-theta, low angle first:
- 2θ = 5.42°, rel. 100
- 2θ = 32.47°, rel. 19
- 2θ = 32.94°, rel. 5
- 2θ = 34.48°, rel. 13
- 2θ = 36.24°, rel. 9
- 2θ = 39.44°, rel. 17
- 2θ = 55.37°, rel. 7
- 2θ = 58.61°, rel. 5
- 2θ = 65.94°, rel. 4
- 2θ = 69.54°, rel. 4

Cell lengths 16.429, 16.429, 16.429 Å; angles 11.59, 11.59, 11.59 degrees
Positions (direct):
Hf 0.000 0.000 0.000
Hf 0.388 0.388 0.388
Hf 0.612 0.612 0.612
Al 0.148 0.148 0.148
Al 0.232 0.232 0.232
Al 0.768 0.768 0.768
Al 0.852 0.852 0.852
C 0.083 0.083 0.083
C 0.192 0.192 0.192
C 0.306 0.306 0.306
C 0.694 0.694 0.694
C 0.808 0.808 0.808
C 0.917 0.917 0.917

No. 4
Starting from a structure optimized by DFT (PBE), the X-ray powder pattern of Hf8Al2C3N3 was computed for Cu Kα (weighted mean of Kα1 and Kα2).
Intensities are scaled so that the largest is 100.

Most intense lines, 5 to 70 degrees two-theta, low angle first:
- 2θ = 7.16°, rel. 73
- 2θ = 32.63°, rel. 53
- 2θ = 33.66°, rel. 36
- 2θ = 35.04°, rel. 53
- 2θ = 36.41°, rel. 45
- 2θ = 36.76°, rel. 67
- 2θ = 38.77°, rel. 100
- 2θ = 56.65°, rel. 51
- 2θ = 69.23°, rel. 43
- 2θ = 69.48°, rel. 30

Cell lengths 3.250, 3.250, 24.679 Å; angles 90.00, 90.00, 120.00 degrees
Positions (direct):
Hf 0.000 0.000 0.155
Hf 0.000 0.000 0.341
Hf 0.000 0.000 0.659
Hf 0.000 0.000 0.845
Hf 0.333 0.667 0.553
Hf 0.333 0.667 0.946
Hf 0.667 0.333 0.054
Hf 0.667 0.333 0.447
Al 0.333 0.667 0.753
Al 0.667 0.333 0.247
C 0.000 0.000 0.500
C 0.333 0.667 0.389
C 0.667 0.333 0.611
N 0.000 0.000 0.000
N 0.333 0.667 0.104
N 0.667 0.333 0.896

No. 5
Starting from a structure optimized by DFT (PBE), the X-ray powder pattern of Lu3AlCN was computed for Cu Kα (weighted mean of Kα1 and Kα2).
Intensities are scaled so that the largest is 100.

Most intense lines, 5 to 70 degrees two-theta, low angle first:
- 2θ = 8.41°, rel. 67
- 2θ = 30.59°, rel. 44
- 2θ = 31.48°, rel. 20
- 2θ = 32.93°, rel. 26
- 2θ = 34.09°, rel. 33
- 2θ = 34.86°, rel. 100
- 2θ = 37.21°, rel. 38
- 2θ = 53.80°, rel. 33
- 2θ = 65.25°, rel. 32
- 2θ = 65.75°, rel. 24

Cell lengths 3.408, 3.408, 21.038 Å; angles 90.00, 90.00, 120.00 degrees
Positions (direct):
Lu 0.000 0.000 0.000
Lu 0.000 0.000 0.500
Lu 0.333 0.667 0.127
Lu 0.333 0.667 0.369
Lu 0.667 0.333 0.631
Lu 0.667 0.333 0.873
Al 0.000 0.000 0.244
Al 0.000 0.000 0.756
C 0.333 0.667 0.572
C 0.667 0.333 0.428
N 0.333 0.667 0.934
N 0.667 0.333 0.066

No. 6
Starting from a structure optimized by DFT (PBE), the X-ray powder pattern of AlMo4C3 was computed for Cu Kα (weighted mean of Kα1 and Kα2).
Intensities are scaled so that the largest is 100.

Most intense lines, 5 to 70 degrees two-theta, low angle first:
- 2θ = 7.58°, rel. 58
- 2θ = 15.18°, rel. 27
- 2θ = 33.49°, rel. 12
- 2θ = 34.17°, rel. 35
- 2θ = 35.27°, rel. 25
- 2θ = 36.75°, rel. 44
- 2θ = 38.59°, rel. 100
- 2θ = 40.75°, rel. 92
- 2θ = 55.10°, rel. 15
- 2θ = 59.45°, rel. 44

Cell lengths 3.110, 3.110, 23.341 Å; angles 90.00, 90.00, 120.00 degrees
Positions (direct):
Al 0.333 0.667 0.250
Al 0.667 0.333 0.750
Mo 0.000 0.000 0.154
Mo 0.000 0.000 0.346
Mo 0.000 0.000 0.654
Mo 0.000 0.000 0.846
Mo 0.333 0.667 0.056
Mo 0.333 0.667 0.444
Mo 0.667 0.333 0.556
Mo 0.667 0.333 0.944
C 0.000 0.000 0.000
C 0.000 0.000 0.500
C 0.333 0.667 0.610
C 0.333 0.667 0.890
C 0.667 0.333 0.110
C 0.667 0.333 0.390